Entry 1:
For NaRu2O4, a structure optimized by DFT (GGA-PBE) gives the computed X-ray diffraction stick pattern in this record (CuKα).

Structure:
Cell: 9.5307 2.8134 11.2788 Å, 90.00 90.00 90.00°
Sites, in units of the cell vectors:
1 Na 0.2408 0.2500 0.1558
2 Na 0.2592 0.7500 0.6558
3 Na 0.7408 0.2500 0.3442
4 Na 0.7592 0.7500 0.8442
5 Ru 0.0605 0.2500 0.3833
6 Ru 0.0854 0.2500 0.8948
7 Ru 0.4146 0.7500 0.3948
8 Ru 0.4395 0.7500 0.8833
9 Ru 0.5605 0.2500 0.1167
10 Ru 0.5854 0.2500 0.6052
11 Ru 0.9146 0.7500 0.1052
12 Ru 0.9395 0.7500 0.6167
13 O 0.0278 0.7500 0.7776
14 O 0.0857 0.2500 0.5631
15 O 0.1097 0.7500 0.0278
16 O 0.2091 0.7500 0.3400
17 O 0.2909 0.2500 0.8400
18 O 0.3903 0.2500 0.5278
19 O 0.4143 0.7500 0.0631
20 O 0.4722 0.2500 0.2776
21 O 0.5278 0.7500 0.7224
22 O 0.5857 0.2500 0.9369
23 O 0.6097 0.7500 0.4722
24 O 0.7091 0.7500 0.1600
25 O 0.7909 0.2500 0.6600
26 O 0.8903 0.2500 0.9722
27 O 0.9143 0.7500 0.4369
28 O 0.9722 0.2500 0.2224

Principal peaks in the range 2θ from 10° to 80°, sorted by position:
2θ (°)  d [Å]  I_rel
18.28  4.853  59.1
18.62  4.765  68.2
31.73  2.820  52.6
32.34  2.768  95.9
36.93  2.434  100.0
37.10  2.424  50.9
49.61  1.838  44.4
50.17  1.818  28.6
59.98  1.542  23.8
60.60  1.528  31.6



Entry 2:
For NaRuO3, a structure optimized by DFT (GGA-PBE) gives the computed X-ray diffraction stick pattern in this record (CuKα).

Structure:
Cell: 3.8675 3.8675 3.8675 Å, 90.00 90.00 90.00°
Sites, in units of the cell vectors:
1 Na 0.0000 0.0000 0.0000
2 Ru 0.5000 0.5000 0.5000
3 O 0.0000 0.5000 0.5000
4 O 0.5000 0.0000 0.5000
5 O 0.5000 0.5000 0.0000

Principal peaks in the range 2θ from 10° to 80°, sorted by position:
2θ (°)  d [Å]  I_rel
23.00  3.867  95.1
32.75  2.735  100.0
40.40  2.233  2.9
46.99  1.934  43.3
52.94  1.730  35.7
58.45  1.579  38.2
68.64  1.367  24.3
73.45  1.289  16.2
78.15  1.223  16.0



Entry 3:
For NaRuO2, a structure optimized by DFT (GGA-PBE) gives the computed X-ray diffraction stick pattern in this record (CuKα).

Structure:
Cell: 5.6275 5.6275 5.6275 Å, 32.16 32.16 32.16°
Sites, in units of the cell vectors:
1 Na 0.0000 0.0000 0.0000
2 Ru 0.5000 0.5000 0.5000
3 O 0.2354 0.2354 0.2354
4 O 0.7646 0.7646 0.7646

Principal peaks in the range 2θ from 10° to 80°, sorted by position:
2θ (°)  d [Å]  I_rel
16.63  5.332  100.0
33.65  2.663  58.9
35.08  2.558  52.7
40.31  2.237  98.1
52.46  1.744  16.9
57.35  1.607  29.8
59.29  1.559  29.3
62.04  1.496  16.4
69.92  1.345  20.9
74.11  1.279  20.3



Entry 4:
For Na2SO2, a structure optimized by DFT (GGA-PBE) gives the computed X-ray diffraction stick pattern in this record (CuKα).

Structure:
Cell: 9.7173 8.7219 8.3802 Å, 69.22 57.05 53.73°
Sites, in units of the cell vectors:
1 Na 0.1346 0.2637 0.3180
2 Na 0.2163 0.6820 0.7363
3 Na 0.2637 0.1346 0.7837
4 Na 0.3180 0.7837 0.1346
5 Na 0.6820 0.2163 0.8654
6 Na 0.7363 0.8654 0.2163
7 Na 0.7837 0.3180 0.2637
8 Na 0.8654 0.7363 0.6820
9 S 0.0000 0.0000 0.0000
10 S 0.0000 0.0000 0.5000
11 S 0.0000 0.5000 0.0000
12 S 0.5000 0.0000 0.0000
13 O 0.0808 0.4599 0.7718
14 O 0.1875 0.7718 0.4599
15 O 0.2282 0.8125 0.9192
16 O 0.4599 0.0808 0.1875
17 O 0.5401 0.9192 0.8125
18 O 0.7718 0.1875 0.0808
19 O 0.8125 0.2282 0.5401
20 O 0.9192 0.5401 0.2282

Principal peaks in the range 2θ from 10° to 80°, sorted by position:
2θ (°)  d [Å]  I_rel
12.60  7.024  100.0
21.49  4.134  11.2
21.98  4.044  24.6
22.75  3.910  19.4
25.15  3.540  43.8
26.79  3.328  24.9
27.84  3.205  24.5
33.52  2.673  19.6
38.74  2.324  16.7
43.68  2.072  21.6



Entry 5:
For Na2S2O3, a structure optimized by DFT (GGA-PBE) gives the computed X-ray diffraction stick pattern in this record (CuKα).

Structure:
Cell: 8.6206 8.2421 6.5224 Å, 90.00 97.34 90.00°
Sites, in units of the cell vectors:
1 Na 0.0460 0.1980 0.1238
2 Na 0.0460 0.3020 0.6238
3 Na 0.4139 0.6210 0.7078
4 Na 0.4139 0.8790 0.2078
5 Na 0.5861 0.1210 0.7922
6 Na 0.5861 0.3790 0.2922
7 Na 0.9540 0.6980 0.3762
8 Na 0.9540 0.8020 0.8762
9 S 0.2336 0.5484 0.2080
10 S 0.2336 0.9516 0.7080
11 S 0.2871 0.1031 0.4829
12 S 0.2871 0.3969 0.9829
13 S 0.7129 0.6031 0.0171
14 S 0.7129 0.8969 0.5171
15 S 0.7664 0.0484 0.2920
16 S 0.7664 0.4516 0.7920
17 O 0.1219 0.0362 0.8282
18 O 0.1219 0.4638 0.3282
19 O 0.1621 0.7016 0.1201
20 O 0.1621 0.7984 0.6201
21 O 0.3836 0.5878 0.3403
22 O 0.3836 0.9122 0.8403
23 O 0.6164 0.0878 0.1597
24 O 0.6164 0.4122 0.6597
25 O 0.8379 0.2016 0.3799
26 O 0.8379 0.2984 0.8799
27 O 0.8781 0.5362 0.6718
28 O 0.8781 0.9638 0.1718

Principal peaks in the range 2θ from 10° to 80°, sorted by position:
2θ (°)  d [Å]  I_rel
19.38  4.580  79.6
20.78  4.275  37.9
21.20  4.192  99.3
27.02  3.300  49.6
28.59  3.122  100.0
30.12  2.967  35.5
32.05  2.792  79.1
32.69  2.740  36.3
34.33  2.612  50.8
43.65  2.074  37.9



Entry 6:
For NaS2O4, a structure optimized by DFT (GGA-PBE) gives the computed X-ray diffraction stick pattern in this record (CuKα).

Structure:
Cell: 8.1337 8.1337 5.5004 Å, 103.61 103.61 48.03°
Sites, in units of the cell vectors:
1 Na 0.2359 0.2359 0.4867
2 Na 0.7641 0.7641 0.5133
3 S 0.5459 0.1741 0.0765
4 S 0.8259 0.4541 0.9235
5 S 0.8837 0.0756 0.1575
6 S 0.9244 0.1163 0.8425
7 O 0.1486 0.5872 0.5820
8 O 0.3940 0.4146 0.1101
9 O 0.4128 0.8514 0.4180
10 O 0.5388 0.0729 0.8190
11 O 0.5602 0.0674 0.2720
12 O 0.5854 0.6060 0.8899
13 O 0.9271 0.4612 0.1810
14 O 0.9326 0.4398 0.7280

Principal peaks in the range 2θ from 10° to 80°, sorted by position:
2θ (°)  d [Å]  I_rel
14.73  6.012  100.0
22.93  3.879  49.0
23.25  3.826  42.1
23.51  3.784  71.4
25.45  3.500  57.7
29.72  3.006  21.3
32.78  2.732  21.3
34.03  2.634  35.4
36.95  2.433  28.6
45.24  2.004  23.5



Entry 7:
For Na2S2O5, a structure optimized by DFT (GGA-PBE) gives the computed X-ray diffraction stick pattern in this record (CuKα).

Structure:
Cell: 5.6595 6.1886 26.1437 Å, 89.68 86.93 89.22°
Sites, in units of the cell vectors:
1 Na 0.0000 0.0000 0.0000
2 Na 0.0051 0.6805 0.3223
3 Na 0.4294 0.1859 0.5462
4 Na 0.4451 0.8972 0.8800
5 Na 0.4691 0.5435 0.2212
6 Na 0.4789 0.3987 0.7989
7 Na 0.4938 0.7250 0.4489
8 Na 0.5192 0.0901 0.1309
9 Na 0.9354 0.0955 0.4237
10 Na 0.9542 0.7821 0.7652
11 Na 0.9743 0.4395 0.0960
12 Na 0.9819 0.3313 0.6699
13 S 0.4722 0.6413 0.6852
14 S 0.4772 0.9933 0.3384
15 S 0.4899 0.0257 0.7047
16 S 0.4919 0.3165 0.0155
17 S 0.5095 0.6979 0.0387
18 S 0.5444 0.3643 0.3348
19 S 0.8987 0.5057 0.5358
20 S 0.9447 0.9085 0.5348
21 S 0.9581 0.2133 0.8667
22 S 0.9609 0.5884 0.8732
23 S 0.9625 0.8602 0.1862
24 S 0.9929 0.2421 0.2015
25 O 0.0533 0.4498 0.4070
26 O 0.0657 0.7618 0.2332
27 O 0.1564 0.4949 0.4479
28 O 0.1705 0.9485 0.5020
29 O 0.1781 0.1504 0.8359
30 O 0.1804 0.6369 0.8396
31 O 0.2123 0.2962 0.1665
32 O 0.2417 0.5841 0.7145
33 O 0.2415 0.9690 0.3675
34 O 0.2580 0.2554 0.0424
35 O 0.2869 0.1156 0.6292
36 O 0.3134 0.7818 0.9623
37 O 0.3470 0.4719 0.3085
38 O 0.5308 0.1329 0.6479
39 O 0.5535 0.8092 0.9823
40 O 0.5706 0.4378 0.3878
41 O 0.6608 0.4870 0.5127
42 O 0.6744 0.9283 0.3730
43 O 0.6780 0.5699 0.7167
44 O 0.6935 0.2386 0.0476
45 O 0.6947 0.8404 0.1868
46 O 0.7269 0.0456 0.7279
47 O 0.7322 0.9641 0.5035
48 O 0.7402 0.1585 0.8404
49 O 0.7436 0.6421 0.8437
50 O 0.7450 0.7163 0.0628
51 O 0.7667 0.3800 0.3026
52 O 0.7740 0.3203 0.1742
53 O 0.8870 0.4491 0.5913
54 O 0.9543 0.1263 0.9193

Principal peaks in the range 2θ from 10° to 80°, sorted by position:
2θ (°)  d [Å]  I_rel
18.26  4.860  48.8
19.18  4.628  68.8
19.73  4.500  26.8
20.41  4.351  100.0
25.87  3.443  48.2
26.98  3.305  29.7
29.08  3.071  43.8
33.34  2.688  72.0
33.60  2.667  27.2
34.07  2.631  47.6